# 1
For CaPm12Sn7, the PBE geometry in Alexandria gives the simulated powder diffractogram in this record (Cu Kα).

Most intense lines, 2θ from 10° to 90°, most intense first:
- 2θ 30.93, rel. 100
- 2θ 33.86, rel. 96
- 2θ 36.18, rel. 67
- 2θ 27.83, rel. 45
- 2θ 30.06, rel. 41
- 2θ 62.10, rel. 37
- 2θ 50.83, rel. 36
- 2θ 50.39, rel. 30
- 2θ 30.27, rel. 24
- 2θ 34.91, rel. 23
- 2θ 36.00, rel. 20
- 2θ 54.74, rel. 18

```
20
Lattice="7.9423 4.5855 2.9527 -7.9423 4.5855 2.9527 0.0000 -9.1710 2.9527" Properties=species:S:1:pos:R:3 pbc="T T T"
Ca 0.0000 0.0000 0.0000
Pm -2.1786 -5.3976 2.9527
Pm -5.7637 0.8120 2.9527
Pm -2.5828 -1.4912 3.3263
Pm 2.1786 -5.3976 2.9527
Pm -3.5851 4.5855 2.9527
Pm 2.5828 -1.4912 3.3263
Pm 0.0000 2.9823 3.3263
Pm 0.0000 -2.9823 5.5318
Pm -2.5828 1.4912 5.5318
Pm 5.7637 0.8120 2.9527
Pm 3.5851 4.5855 2.9527
Pm 2.5828 1.4912 5.5318
Sn 0.0000 -2.9903 2.1822
Sn -2.5897 1.4951 2.1822
Sn 2.5897 1.4951 2.1822
Sn 0.0000 0.0000 4.4291
Sn -2.5897 -1.4951 6.6760
Sn 2.5897 -1.4951 6.6760
Sn 0.0000 2.9903 6.6760
```


# 2
For MnCdAs2, the PBE geometry in Alexandria gives the simulated powder diffractogram in this record (Cu Kα).

Most intense lines, 2θ from 10° to 90°, most intense first:
- 2θ 39.08, rel. 100
- 2θ 26.17, rel. 86
- 2θ 43.63, rel. 59
- 2θ 43.92, rel. 56
- 2θ 24.30, rel. 37
- 2θ 42.95, rel. 35
- 2θ 66.28, rel. 33
- 2θ 47.28, rel. 31
- 2θ 33.79, rel. 26
- 2θ 31.06, rel. 22
- 2θ 35.68, rel. 21
- 2θ 80.27, rel. 18

```
8
Lattice="14.6541 0.0000 0.0000 0.0000 2.9365 0.0000 -0.0018 0.0000 3.8455" Properties=species:S:1:pos:R:3 pbc="T T T"
Mn 0.0000 0.0000 0.0000
Mn 7.3270 1.4682 0.0000
Cd 3.6666 0.0000 1.9278
Cd 10.9937 1.4682 1.9278
As 2.0747 1.4682 0.0028
As 6.3582 0.0000 1.9217
As 9.4017 0.0000 0.0028
As 13.6853 1.4682 1.9217
```


# 3
For Ba3AgTe2O8, the PBE geometry in Alexandria gives the simulated powder diffractogram in this record (Cu Kα).

Most intense lines, 2θ from 10° to 90°, most intense first:
- 2θ 29.26, rel. 100
- 2θ 27.69, rel. 87
- 2θ 40.73, rel. 44
- 2θ 50.94, rel. 33
- 2θ 51.89, rel. 20
- 2θ 47.98, rel. 18
- 2θ 60.69, rel. 16
- 2θ 65.53, rel. 14
- 2θ 67.98, rel. 14
- 2θ 57.19, rel. 13
- 2θ 37.30, rel. 12
- 2θ 83.88, rel. 10

```
14
Lattice="6.1036 0.0000 0.0000 -3.0518 5.2859 0.0000 0.0000 0.0000 8.1255" Properties=species:S:1:pos:R:3 pbc="T T T"
Ba 0.0000 0.0000 0.0000
Ba 0.0000 3.5239 5.1489
Ba 3.0518 1.7620 2.9766
Ag 0.0000 0.0000 4.0628
Te 0.0000 3.5239 1.5293
Te 3.0518 1.7620 6.5962
O 0.0000 1.7983 2.4880
O -1.4945 4.3868 2.4880
O 0.0000 3.5239 7.6134
O 1.5574 0.8991 5.6375
O 1.4945 4.3868 2.4880
O 3.0518 1.7620 0.5121
O 4.5463 0.8991 5.6375
O 3.0518 3.4876 5.6375
```


# 4
For Li7HgBi3, the PBE geometry in Alexandria gives the simulated powder diffractogram in this record (Cu Kα).

Most intense lines, 2θ from 10° to 90°, most intense first:
- 2θ 22.76, rel. 100
- 2θ 24.01, rel. 100
- 2θ 25.95, rel. 75
- 2θ 38.40, rel. 67
- 2θ 34.79, rel. 66
- 2θ 37.31, rel. 49
- 2θ 16.92, rel. 39
- 2θ 27.44, rel. 34
- 2θ 39.70, rel. 32
- 2θ 36.49, rel. 31
- 2θ 21.44, rel. 30
- 2θ 32.08, rel. 28

```
22
Lattice="1.7354 -11.7230 0.0000 1.7354 11.7230 0.0000 0.0000 0.0000 11.7198" Properties=species:S:1:pos:R:3 pbc="T T T"
Li 1.7354 11.3804 7.1879
Li 1.7354 11.3804 10.3918
Li 1.7354 8.6768 2.9299
Li 1.7354 8.2016 7.1434
Li 1.7354 8.2016 10.4362
Li 1.7354 4.8768 6.8703
Li 1.7354 4.8768 10.7093
Li 1.7354 -4.8768 1.0104
Li 1.7354 -4.8768 4.8494
Li 1.7354 -8.2016 1.2835
Li 1.7354 -8.2016 4.5763
Li 1.7354 -8.6768 8.7898
Li 1.7354 -11.3804 1.3280
Li 1.7354 -11.3804 4.5319
Hg 1.7354 1.8851 2.9299
Hg 1.7354 -1.8851 8.7898
Bi 1.7354 5.4252 2.9299
Bi 1.7354 2.0438 6.5414
Bi 1.7354 2.0438 11.0382
Bi 1.7354 -2.0438 0.6816
Bi 1.7354 -2.0438 5.1783
Bi 1.7354 -5.4252 8.7898
```


> Which formula does entry 1 have?

CaPm12Sn7